Calculated XRD peak list of CsNbP2O8 for Cu Kα X-rays, from a PBE-relaxed structure.

Most intense lines, 2θ from 5° to 70°, in order of rising 2θ:
2θ/deg, intensity
17.25, 63
20.54, 39
21.36, 65
21.79, 100
23.21, 35
23.91, 33
27.37, 27
28.44, 42
28.90, 26
29.47, 47

```
48
Lattice="4.9950 0.0000 0.0000 0.0000 9.0487 0.0000 -3.2159 0.0000 18.7316" Properties=species:S:1:pos:R:3 pbc="T T T"
Cs -0.5924 1.9043 8.2311
Cs -2.2004 2.6201 17.5969
Cs 3.9795 6.4287 1.1347
Cs 2.3716 7.1444 10.5005
Nb 1.1525 0.5178 3.1464
Nb -0.4554 4.0065 12.5123
Nb 2.2346 5.0422 6.2194
Nb 0.6266 8.5309 15.5852
P -1.7529 1.0790 13.9081
P -0.1450 3.4454 4.5423
P -1.9161 6.4733 16.7214
P -0.3082 7.0998 7.3556
P 2.0873 1.9489 11.3760
P 3.6953 2.5754 2.0102
P 1.9241 5.6033 14.1894
P 3.5320 7.9697 4.8235
O -0.2496 1.4318 1.9464
O -1.8576 3.0926 11.3122
O -2.5280 5.3498 15.6921
O -0.9200 8.2233 6.3263
O -1.9183 5.2656 13.2243
O -0.3103 8.3075 3.8585
O 0.2942 2.0063 4.6789
O -1.3137 2.5180 14.0448
O -1.7022 5.7746 18.0197
O -0.0942 7.7984 8.6539
O -0.6152 0.0439 14.0571
O 0.9928 4.4804 4.6913
O 0.1029 5.1291 11.2811
O 1.7109 8.4440 1.9153
O 0.9696 6.5780 6.6568
O -0.6383 6.9951 16.0226
O 2.4175 2.0537 2.7091
O 0.8095 2.4707 12.0749
O 0.0682 0.6047 16.8164
O 1.6762 3.9196 7.4505
O 0.7864 4.5683 14.0404
O 2.3943 9.0048 4.6745
O 1.8733 1.2503 10.0778
O 3.4813 3.2741 0.7120
O 3.0928 6.5307 4.6869
O 1.4849 7.0424 14.0527
O 2.0895 0.7413 14.8731
O 3.6974 3.7831 5.5073
O 2.6991 0.8254 12.4054
O 4.3071 3.6989 3.0395
O 3.6367 5.9561 7.4195
O 2.0287 7.6170 16.7853
```

***

Calculated XRD peak list of CsNbP2O8 for Cu Kα X-rays, from a PBE-relaxed structure.

Most intense lines, 2θ from 5° to 70°, in order of rising 2θ:
2θ/deg, intensity
19.49, 66
19.77, 29
20.14, 48
22.15, 27
27.48, 100
28.33, 48
29.19, 26
33.71, 23
34.87, 42
39.42, 26

```
12
Lattice="4.4171 -2.6589 0.0000 4.4171 2.6589 0.0000 -0.5183 0.0000 8.9799" Properties=species:S:1:pos:R:3 pbc="T T T"
Cs 0.0000 0.0000 0.0000
Nb -0.2591 0.0000 4.4900
P 2.7884 0.0000 6.2161
P 5.5274 0.0000 2.7639
O 1.5646 0.0000 5.2271
O 3.6478 1.2512 5.8235
O 4.6680 1.2512 3.1564
O 2.3955 0.0000 7.6552
O 5.9203 0.0000 1.3247
O 3.6478 -1.2512 5.8235
O 4.6680 -1.2512 3.1564
O 6.7513 0.0000 3.7528
```

***

Calculated XRD peak list of CsPr2Ti2NbO10 for Cu Kα X-rays, from a PBE-relaxed structure.

Most intense lines, 2θ from 5° to 70°, in order of rising 2θ:
2θ/deg, intensity
5.62, 91
16.91, 34
28.49, 100
28.70, 98
32.54, 63
32.64, 47
36.96, 21
40.10, 21
46.77, 62
55.86, 29

```
16
Lattice="2.7506 -2.7435 0.0000 2.7506 2.7435 0.0000 -0.1624 0.0000 15.7340" Properties=species:S:1:pos:R:3 pbc="T T T"
Cs 0.0000 0.0000 0.0000
Pr -0.0534 0.0000 9.6708
Pr 0.0037 0.0000 5.2324
Ti 2.6224 0.0000 7.6403
Ti 2.7197 0.0000 3.1962
Nb 2.6224 0.0000 12.0505
O 3.8792 1.4151 7.7975
O 2.5266 0.0000 9.6641
O 2.5921 0.0000 5.7623
O 3.9658 1.3804 11.5345
O 2.7255 0.0000 1.4939
O 4.0885 1.3639 3.7543
O 2.6258 0.0000 13.8400
O 3.8792 -1.4151 7.7975
O 3.9658 -1.3804 11.5345
O 4.0885 -1.3639 3.7543
```

***

Calculated XRD peak list of Cs4Nb2Si8O23 for Cu Kα X-rays, from a PBE-relaxed structure.

Most intense lines, 2θ from 5° to 70°, in order of rising 2θ:
2θ/deg, intensity
23.75, 16
24.09, 80
25.77, 19
26.97, 100
28.99, 19
29.66, 45
30.16, 19
30.26, 22
32.56, 15
35.00, 23

```
37
Lattice="7.1094 0.0000 0.0000 2.5052 7.6026 0.0000 0.0386 2.6375 10.9144" Properties=species:S:1:pos:R:3 pbc="T T T"
Cs 1.9588 3.0981 3.9589
Cs 2.0151 1.6536 0.1431
Cs 7.6382 8.5864 10.7713
Cs 7.6944 7.1420 6.9555
Nb 3.9894 7.7889 8.8856
Nb 5.6638 2.4512 2.0288
Si 2.0813 6.9596 3.2265
Si 4.1110 5.4384 1.4408
Si 4.2867 6.6603 5.4382
Si 3.4638 2.9497 7.7811
Si 6.1895 7.2904 3.1333
Si 5.3665 3.5798 5.4762
Si 5.5422 4.8017 9.4736
Si 7.5719 3.2805 7.6880
O 2.8118 9.3912 8.2734
O 2.6795 5.8542 2.1684
O 2.8277 6.7223 4.6743
O 2.5410 6.7989 9.2536
O 2.0314 3.6985 7.4031
O 4.1335 8.5334 10.8002
O 4.1407 7.2698 6.9070
O 4.2512 3.8321 1.6292
O 5.3728 7.5281 4.5526
O 5.7068 9.1607 8.5144
O 5.3188 6.2479 2.2116
O 4.8266 5.1200 5.4572
O 4.3344 3.9921 8.7028
O 3.9464 1.0794 2.4000
O 4.2805 2.7120 6.3618
O 5.4020 6.4079 9.2852
O 5.5126 2.9703 4.0074
O 5.5197 1.7067 0.1142
O 7.6218 6.5416 3.5113
O 7.1123 3.4412 1.6609
O 6.8256 3.5178 6.2401
O 6.9738 4.3859 8.7460
O 6.8414 0.8489 2.6410
```

***

Calculated XRD peak list of CsSm2Ti2NbO10 for Cu Kα X-rays, from a PBE-relaxed structure.

Most intense lines, 2θ from 5° to 70°, in order of rising 2θ:
2θ/deg, intensity
5.66, 94
17.04, 35
22.97, 18
28.60, 100
28.89, 96
32.62, 44
32.79, 58
37.21, 28
46.94, 52
56.06, 29

```
16
Lattice="2.7457 -2.7298 0.0000 2.7457 2.7298 0.0000 -0.2294 0.0000 15.6091" Properties=species:S:1:pos:R:3 pbc="T T T"
Cs 0.0000 0.0000 0.0000
Sm 5.2442 0.0000 5.9792
Sm 5.2381 0.0000 10.4166
Ti 2.5560 0.0000 12.3864
Ti 2.7026 0.0000 7.9985
Nb 2.6841 0.0000 3.6233
O 1.1906 1.3539 11.8206
O 1.3630 1.3813 4.1463
O 1.5082 1.4436 7.8339
O 1.1906 -1.3539 11.8206
O 2.6978 0.0000 1.8307
O 2.5498 0.0000 14.0855
O 1.3630 -1.3813 4.1463
O 2.7209 0.0000 9.8721
O 2.8322 0.0000 5.9832
O 1.5082 -1.4436 7.8339
```